Li2TmBr4: theoretical powder X-ray diffraction pattern (CuKα), based on a crystal structure in Alexandria, relaxed with PBE.
Kinematic intensities with the Lorentz-polarization factor, no thermal factor.

Main lines, in order of rising 2θ (15° ≤ 2θ ≤ 90°):
| two_theta | I (rel.) | (hkl) |
| --- | --- | --- |
| 16.67 | 100 | 1 0 1 |
| 25.22 | 52 | 0 0 2 |
| 27.73 | 94 | 1 2 1 |
| 31.31 | 13 | 2 2 0 |
| 35.12 | 40 | 1 3 0 |
| 42.31 | 25 | 2 3 1 |
| 43.73 | 48 | 1 3 2 |
| 46.01 | 23 | 1 2 3 |
| 48.19 | 26 | 4 1 1 |
| 57.28 | 15 | 4 2 2 |
| 61.57 | 12 | 4 1 3 |
| 64.11 | 14 | 1 3 4 |

Cell and atoms:
```
data_Li2TmBr4
_chemical_formula_sum 'Li4 Tm2 Br8'
_cell_length_a 8.081
_cell_length_b 8.081
_cell_length_c 7.062
_cell_angle_alpha 90.00
_cell_angle_beta 90.00
_cell_angle_gamma 90.00
_space_group_name_H-M_alt 'I 4/m'
_space_group_IT_number 87
_space_group_name_Hall '-I 4'
loop_
_atom_site_label
_atom_site_type_symbol
_atom_site_fract_x
_atom_site_fract_y
_atom_site_fract_z
Li1 Li 0.000 0.500 0.250
Tm1 Tm 0.000 0.000 0.000
Br1 Br 0.141 0.312 0.000
```